Structure and simulated powder XRD pattern of YSb2TeI (a crystal structure in Alexandria, relaxed with GGA-PBE; Cu Kα).
No peak broadening, texture or thermal motion is included.

Most intense lines, 2θ = 5–70°, in order of rising 2θ:
2θ 14.84, d 5.969, I 10.9
2θ 26.36, d 3.382, I 100.0
2θ 29.94, d 2.985, I 76.3
2θ 31.67, d 2.825, I 32.9
2θ 42.85, d 2.111, I 28.3
2θ 44.14, d 2.052, I 51.9
2θ 51.01, d 1.790, I 32.1
2θ 53.26, d 1.720, I 14.1
2θ 54.25, d 1.691, I 28.0
2θ 62.21, d 1.492, I 9.2

Structure:
Cell: 5.9695 5.9695 5.6505 Å, 90.00 90.00 90.00°
Space group P4/mmm (No. 123)
Symmetry-distinct sites (fractional):
Y (0.0000, 0.0000, 0.0000) (multiplicity 1)
Sb (0.0000, 0.5000, 0.0000) (multiplicity 2)
Te (0.5000, 0.5000, 0.5000) (multiplicity 1)
I (0.0000, 0.0000, 0.5000) (multiplicity 1)


Structure and simulated powder XRD pattern of Ag4Se2Br5 (a crystal structure in Alexandria, relaxed with GGA-PBE; Cu Kα).
No peak broadening, texture or thermal motion is included.

Most intense lines, 2θ = 5–70°, in order of rising 2θ:
2θ 9.99, d 8.853, I 39.1
2θ 16.03, d 5.528, I 56.2
2θ 20.94, d 4.243, I 26.3
2θ 23.10, d 3.851, I 34.8
2θ 28.02, d 3.185, I 100.0
2θ 30.14, d 2.965, I 71.3
2θ 31.63, d 2.829, I 62.3
2θ 40.12, d 2.248, I 36.4
2θ 43.50, d 2.080, I 38.6
2θ 43.62, d 2.075, I 42.1

Structure:
Cell: 4.1734 8.9559 9.1165 Å, 76.22 85.85 76.72°
Space group P-1 (No. 2)
Symmetry-distinct sites (fractional):
Ag (0.0008, 0.0120, 0.2090) (multiplicity 2)
Ag (0.2701, 0.3807, 0.3620) (multiplicity 2)
Se (0.4688, 0.0736, 0.3792) (multiplicity 2)
Br (0.0832, 0.6846, 0.3787) (multiplicity 2)
Br (0.2387, 0.6314, 0.8365) (multiplicity 2)
Br (0.5000, 0.0000, 0.0000) (multiplicity 1)


Structure and simulated powder XRD pattern of CrHIr (a crystal structure in Alexandria, relaxed with GGA-PBE; Cu Kα).
No peak broadening, texture or thermal motion is included.

Most intense lines, 2θ = 5–70°, in order of rising 2θ:
2θ 23.29, d 3.820, I 31.1
2θ 32.79, d 2.731, I 28.4
2θ 40.61, d 2.222, I 100.0
2θ 47.05, d 1.931, I 33.3
2θ 47.61, d 1.910, I 16.1
2θ 53.14, d 1.724, I 15.2
2θ 59.02, d 1.565, I 11.5
2θ 68.74, d 1.366, I 10.5
2θ 69.18, d 1.358, I 20.6

Structure:
Cell: 2.7313 2.7313 3.8198 Å, 90.00 90.00 90.00°
Space group P4/mmm (No. 123)
Symmetry-distinct sites (fractional):
Cr (0.0000, 0.0000, 0.0000) (multiplicity 1)
H (0.5000, 0.5000, 0.0000) (multiplicity 1)
Ir (0.5000, 0.5000, 0.5000) (multiplicity 1)


Structure and simulated powder XRD pattern of TlAg2W (a crystal structure in Alexandria, relaxed with GGA-PBE; Cu Kα).
No peak broadening, texture or thermal motion is included.

Most intense lines, 2θ = 5–70°, in order of rising 2θ:
2θ 17.78, d 4.987, I 11.4
2θ 36.02, d 2.494, I 26.1
2θ 37.66, d 2.389, I 100.0
2θ 38.77, d 2.322, I 23.7
2θ 53.95, d 1.700, I 16.3
2θ 54.68, d 1.679, I 8.7
2θ 65.83, d 1.419, I 15.6
2θ 67.23, d 1.393, I 8.5
2θ 69.03, d 1.360, I 8.5
2θ 69.46, d 1.353, I 17.6

Structure:
Cell: 3.3573 4.6448 9.9747 Å, 90.00 90.00 90.00°
Space group Cmmm (No. 65)
Symmetry-distinct sites (fractional):
Tl (0.0000, 0.0000, 0.0000) (multiplicity 2)
Ag (0.0000, 0.5000, 0.2712) (multiplicity 4)
W (0.0000, 0.0000, 0.5000) (multiplicity 2)